(1)
Diffraction record for Ce7Ge3C2. The powder diffractogram is calculated, not measured: it uses the PBE geometry in Alexandria and Cu Kα X-rays.
Kinematic intensities with the Lorentz-polarization factor, no thermal factor.

Largest 6 diffraction maxima, by angle, 2θ from 5° to 70°:
2θ = 32.35°, I 100
2θ = 36.57°, I 20
2θ = 37.18°, I 17
2θ = 38.82°, I 17
2θ = 63.18°, I 15
2θ = 66.23°, I 13

a = 12.338 Å, b = 12.338 Å, c = 4.640 Å
α = 90.00°, β = 90.00°, γ = 157.02°
Atoms (fractional coordinates):
Ce1 0.000 0.000 0.000
Ce2 0.091 0.909 0.500
Ce3 0.208 0.792 0.000
Ce4 0.398 0.602 0.000
Ce5 0.602 0.398 0.000
Ce6 0.792 0.208 0.000
Ce7 0.909 0.091 0.500
Ge1 0.312 0.688 0.500
Ge2 0.500 0.500 0.500
Ge3 0.688 0.312 0.500
C1 0.110 0.890 0.000
C2 0.890 0.110 0.000


(2)
Diffraction record for Ce5GeC. The powder diffractogram is calculated, not measured: it uses the PBE geometry in Alexandria and Cu Kα X-rays.
Kinematic intensities with the Lorentz-polarization factor, no thermal factor.

Largest 6 diffraction maxima, by angle, 2θ from 5° to 70°:
2θ = 31.17°, I 66
2θ = 32.96°, I 83
2θ = 33.70°, I 72
2θ = 33.94°, I 100
2θ = 34.97°, I 72
2θ = 35.11°, I 76

a = 6.199 Å, b = 6.199 Å, c = 10.266 Å
α = 109.98°, β = 109.98°, γ = 61.50°
Atoms (fractional coordinates):
Ce1 0.012 0.580 0.359
Ce2 0.045 0.955 0.750
Ce3 0.191 0.539 0.939
Ce4 0.420 0.988 0.141
Ce5 0.461 0.809 0.561
Ce6 0.539 0.191 0.439
Ce7 0.580 0.012 0.859
Ce8 0.809 0.461 0.061
Ce9 0.955 0.045 0.250
Ce10 0.988 0.420 0.641
Ge1 0.461 0.539 0.250
Ge2 0.539 0.461 0.750
C1 0.000 0.000 0.000
C2 0.000 0.000 0.500


(3)
Diffraction record for Ce2Nb2Ge2C. The powder diffractogram is calculated, not measured: it uses the PBE geometry in Alexandria and Cu Kα X-rays.
Kinematic intensities with the Lorentz-polarization factor, no thermal factor.

Largest 6 diffraction maxima, by angle, 2θ from 5° to 70°:
2θ = 31.55°, I 69
2θ = 34.74°, I 30
2θ = 35.69°, I 34
2θ = 37.55°, I 100
2θ = 41.93°, I 64
2θ = 55.55°, I 30

a = 8.325 Å, b = 8.325 Å, c = 8.325 Å
α = 150.00°, β = 150.00°, γ = 42.94°
Atoms (fractional coordinates):
Ce1 0.166 0.166 0.000
Ce2 0.834 0.834 0.000
Nb1 0.000 0.500 0.500
Nb2 0.500 0.000 0.500
Ge1 0.377 0.377 0.000
Ge2 0.623 0.623 0.000
C1 0.000 0.000 0.000